1.
PaBe3Pd10: calculated powder diffraction line list (Cu Kα), based on DFT lattice parameters and positions (GGA-PBE).
Intensities are scaled so that the largest is 100.

Largest 6 diffraction maxima, low angle first, 10 to 90 degrees two-theta:
- hkl 4 2 0, 2θ = 33.8°, intensity 83
- hkl 4 2 2, 2θ = 37.1°, intensity 53
- hkl 3 3 3, 2θ = 39.4°, intensity 100
- hkl 4 4 0, 2θ = 43.1°, intensity 32
- hkl 5 3 1, 2θ = 45.2°, intensity 47
- hkl 6 6 0, 2θ = 66.9°, intensity 38

Cell and atoms:
```
data_PaBe3Pd10
_chemical_formula_sum 'Pa8 Be24 Pd80'
_cell_length_a 11.8709
_cell_length_b 11.8709
_cell_length_c 11.8709
_cell_angle_alpha 90.00
_cell_angle_beta 90.00
_cell_angle_gamma 90.00
_space_group_name_H-M_alt 'F m -3 m'
_space_group_IT_number 225
_space_group_name_Hall '-F 4 2 3'
loop_
_atom_site_label
_atom_site_type_symbol
_atom_site_fract_x
_atom_site_fract_y
_atom_site_fract_z
_atom_site_occupancy
Pa1 Pa 0.2500 0.2500 0.2500 1
Be1 Be 0.0000 0.0000 0.2292 1
Pd1 Pd 0.0000 0.1689 0.3311 1
Pd2 Pd 0.1185 0.1185 0.1185 1
```

***

2.
BaMgAgAs2: calculated powder diffraction line list (Cu Kα), based on DFT lattice parameters and positions (GGA-PBE).
Intensities are scaled so that the largest is 100.

Largest 6 diffraction maxima, low angle first, 10 to 90 degrees two-theta:
- hkl 1 0 3, 2θ = 29.1°, intensity 100
- hkl 1 1 2, 2θ = 32.0°, intensity 90
- hkl 1 0 5, 2θ = 40.7°, intensity 42
- hkl 2 0 0, 2θ = 41.0°, intensity 54
- hkl 2 1 3, 2θ = 51.1°, intensity 41
- hkl 2 1 5, 2θ = 59.1°, intensity 27

Cell and atoms:
```
data_BaMgAgAs2
_chemical_formula_sum 'Ba2 Mg2 Ag2 As4'
_cell_length_a 4.3996
_cell_length_b 4.3996
_cell_length_c 12.8474
_cell_angle_alpha 90.00
_cell_angle_beta 90.00
_cell_angle_gamma 90.00
_space_group_name_H-M_alt 'I -4 m 2'
_space_group_IT_number 119
_space_group_name_Hall 'I -4 -2'
loop_
_atom_site_label
_atom_site_type_symbol
_atom_site_fract_x
_atom_site_fract_y
_atom_site_fract_z
_atom_site_occupancy
Ba1 Ba 0.0000 0.0000 0.0000 1
Mg1 Mg 0.0000 0.5000 0.2500 1
Ag1 Ag 0.0000 0.5000 0.7500 1
As1 As 0.0000 0.0000 0.3761 1
```

***

3.
Nd5Dy12Ho2: calculated powder diffraction line list (Cu Kα), based on DFT lattice parameters and positions (GGA-PBE).
Intensities are scaled so that the largest is 100.

Largest 6 diffraction maxima, low angle first, 10 to 90 degrees two-theta:
- hkl 0 3 -2, 2θ = 30.6°, intensity 33
- hkl 1 0 3, 2θ = 30.6°, intensity 100
- hkl 1 3 1, 2θ = 35.5°, intensity 68
- hkl 2 4 -3, 2θ = 51.1°, intensity 32
- hkl 3 1 2, 2θ = 51.1°, intensity 16
- hkl 4 -1 0, 2θ = 60.7°, intensity 38

Cell and atoms:
```
data_Nd5Dy12Ho2
_chemical_formula_sum 'Nd5 Dy12 Ho2'
_cell_length_a 6.1904
_cell_length_b 9.4679
_cell_length_c 10.7331
_cell_angle_alpha 101.01
_cell_angle_beta 95.57
_cell_angle_gamma 90.05
_space_group_name_H-M_alt 'P -1'
_space_group_IT_number 2
loop_
_space_group_symop_operation_xyz
'x,y,z'
'-x,-y,-z'
loop_
_atom_site_label
_atom_site_type_symbol
_atom_site_fract_x
_atom_site_fract_y
_atom_site_fract_z
_atom_site_occupancy
Nd1 Nd 0.0000 0.0000 0.0000 1
Nd2 Nd 0.1580 0.6313 0.9463 1
Nd3 Nd 0.2633 0.0528 0.5789 1
Dy1 Dy 0.0541 0.2125 0.3170 1
Dy2 Dy 0.1046 0.4216 0.6305 1
Dy3 Dy 0.2108 0.8406 0.2634 1
Dy4 Dy 0.3173 0.2632 0.8949 1
Dy5 Dy 0.3693 0.4734 0.2125 1
Dy6 Dy 0.4742 0.8940 0.8412 1
Ho1 Ho 0.4200 0.6819 0.5263 1
```